This entry pairs a crystal structure of Rb3PaMn2O9 with its computed XRD peak list. Radiation: Cu Kα X-rays. Structure: a DFT-relaxed cell (GGA+U, Alexandria).

Atomic structure:
```
Rb3PaMn2O9
1.0
5.7890 0.0000 0.0000
-2.8945 5.0135 0.0000
0.0000 0.0000 7.1325
Rb Pa Mn O
3 1 2 9
direct
0.0000 0.0000 0.0000
0.3333 0.6667 0.6747
0.6667 0.3333 0.3253
0.0000 0.0000 0.5000
0.3333 0.6667 0.1670
0.6667 0.3333 0.8330
0.0000 0.5000 0.0000
0.1755 0.3509 0.3204
0.1755 0.8245 0.3204
0.3509 0.1755 0.6796
0.5000 0.0000 0.0000
0.5000 0.5000 0.0000
0.6491 0.8245 0.3204
0.8245 0.1755 0.6796
0.8245 0.6491 0.6796
```

Top 10 peaks for 2θ from 10° to 80°, in order of rising 2θ:
hkl 0 0 1, 12.41 deg, I = 18; hkl 1 0 0, 17.69 deg, I = 28; hkl 0 1 1, 21.67 deg, I = 31; hkl 0 1 2, 30.77 deg, I = 100; hkl 1 1 0, 30.89 deg, I = 89; hkl 2 0 2, 44.16 deg, I = 64; hkl 1 0 4, 54.63 deg, I = 19; hkl 3 0 0, 54.89 deg, I = 56; hkl 0 2 4, 64.09 deg, I = 18; hkl 2 2 0, 64.37 deg, I = 18